No. 1
For NaMnCuBr6, the GGA-PBE geometry in Alexandria gives the computed XRD peak list in this record (a wavelength of 1.5418 Å).

```
data_NaMnCuBr6
_chemical_formula_sum 'Na1 Mn1 Cu1 Br6'
_space_group_name_H-M_alt 'P 3 1 2'
_space_group_IT_number 149
_cell_length_a 6.6705
_cell_length_b 6.6705
_cell_length_c 6.5545
_cell_angle_alpha 90.00
_cell_angle_beta 90.00
_cell_angle_gamma 120.00
loop_
_space_group_symop_operation_xyz
'x,y,z'
'-y,x-y,z'
'-x+y,-x,z'
'-y,-x,-z'
'-x+y,y,-z'
'x,x-y,-z'
loop_
_atom_site_label
_atom_site_fract_x
_atom_site_fract_y
_atom_site_fract_z
_atom_site_occupancy
Na1 0.0000 0.0000 0.0000 1
Mn1 0.6667 0.3333 0.5000 1
Cu1 0.3333 0.6667 0.5000 1
Br1 0.3735 0.0081 0.7225 1
```

Most intense lines, 2θ from 10° to 90°, by angle:
d (Å)  two_theta  I/Imax
6.554  13.51  24
5.777  15.34  15
4.334  20.49  16
3.277  27.21  13
2.973  30.06  100
2.338  38.51  49
2.072  43.70  13
1.926  47.20  27
1.828  49.90  25
1.616  56.98  12

No. 2
For Pr4PPtCl2, the GGA-PBE geometry in Alexandria gives the computed XRD peak list in this record (a wavelength of 1.5418 Å).

```
data_Pr4PPtCl2
_chemical_formula_sum 'Pr4 P1 Pt1 Cl2'
_space_group_name_H-M_alt 'P 1 2/m 1'
_space_group_IT_number 10
_cell_length_a 7.3432
_cell_length_b 4.1187
_cell_length_c 7.5201
_cell_angle_alpha 90.00
_cell_angle_beta 108.29
_cell_angle_gamma 90.00
loop_
_space_group_symop_operation_xyz
'x,y,z'
'-x,-y,-z'
'-x,y,-z'
'x,-y,z'
loop_
_atom_site_label
_atom_site_fract_x
_atom_site_fract_y
_atom_site_fract_z
_atom_site_occupancy
Pr1 0.2215 0.0000 0.2363 1
Pr2 0.2264 0.5000 0.7339 1
P1 0.0000 0.0000 0.5000 1
Pt1 0.0000 0.5000 0.0000 1
Cl1 0.5000 0.0000 0.0000 1
Cl2 0.5000 0.5000 0.5000 1
```

Most intense lines, 2θ from 10° to 90°, by angle:
d (Å)  two_theta  I/Imax
6.972  12.70  29
3.400  26.21  14
3.011  29.67  52
2.991  29.87  100
2.176  41.50  18
2.141  42.22  40
2.104  42.99  34
2.060  43.96  23
1.785  51.18  13
1.700  53.94  19

No. 3
For ZnHgS2, the GGA-PBE geometry in Alexandria gives the computed XRD peak list in this record (a wavelength of 1.5418 Å).

```
data_ZnHgS2
_chemical_formula_sum 'Zn2 Hg2 S4'
_space_group_name_H-M_alt 'P 1 21 1'
_space_group_IT_number 4
_cell_length_a 4.0093
_cell_length_b 5.7242
_cell_length_c 8.1068
_cell_angle_alpha 90.00
_cell_angle_beta 90.04
_cell_angle_gamma 90.00
loop_
_space_group_symop_operation_xyz
'x,y,z'
'-x,y+1/2,-z'
loop_
_atom_site_label
_atom_site_fract_x
_atom_site_fract_y
_atom_site_fract_z
_atom_site_occupancy
Zn1 0.2502 0.0000 0.1160 1
Hg1 0.2472 0.0038 0.6395 1
S1 0.2497 0.2719 0.8948 1
S2 0.2519 0.2199 0.3602 1
```

Most intense lines, 2θ from 10° to 90°, by angle:
d (Å)  two_theta  I/Imax
8.107  10.91  21
4.676  18.98  27
3.308  26.95  95
3.284  27.15  100
2.862  31.25  19
2.850  31.38  35
2.020  44.88  69
2.005  45.23  18
1.725  53.08  43
1.714  53.44  29

No. 4
For BaThBr6, the GGA-PBE geometry in Alexandria gives the computed XRD peak list in this record (a wavelength of 1.5418 Å).

```
data_BaThBr6
_chemical_formula_sum 'Ba2 Th2 Br12'
_space_group_name_H-M_alt 'P m m a'
_space_group_IT_number 51
_cell_length_a 9.6021
_cell_length_b 4.5371
_cell_length_c 12.6563
_cell_angle_alpha 90.00
_cell_angle_beta 90.00
_cell_angle_gamma 90.00
loop_
_space_group_symop_operation_xyz
'x,y,z'
'-x,-y,-z'
'-x+1/2,-y,z'
'x+1/2,y,-z'
'x+1/2,-y,-z'
'-x+1/2,y,z'
'-x,y,-z'
'x,-y,z'
loop_
_atom_site_label
_atom_site_fract_x
_atom_site_fract_y
_atom_site_fract_z
_atom_site_occupancy
Ba1 0.2500 0.0000 0.2268 1
Th1 0.2500 0.5000 0.7789 1
Br1 0.0358 0.5000 0.3316 1
Br2 0.0741 0.0000 0.8690 1
Br3 0.2500 0.0000 0.6207 1
Br4 0.2500 0.5000 0.0365 1
```

Most intense lines, 2θ from 10° to 90°, by angle:
d (Å)  two_theta  I/Imax
7.650  11.57  45
6.328  13.99  88
4.801  18.48  28
3.902  22.79  32
3.191  27.96  51
2.941  30.39  100
2.642  33.93  28
2.597  34.53  36
2.561  35.03  72
2.269  39.73  39

No. 5
For Ag3P2Pt9, the GGA-PBE geometry in Alexandria gives the computed XRD peak list in this record (a wavelength of 1.5418 Å).

```
data_Ag3P2Pt9
_chemical_formula_sum 'Ag6 P4 Pt18'
_space_group_name_H-M_alt 'P 63/m m c'
_space_group_IT_number 194
_space_group_name_Hall '-P 6c 2c'
_cell_length_a 5.6657
_cell_length_b 5.6657
_cell_length_c 17.2270
_cell_angle_alpha 90.00
_cell_angle_beta 90.00
_cell_angle_gamma 120.00
loop_
_atom_site_label
_atom_site_fract_x
_atom_site_fract_y
_atom_site_fract_z
_atom_site_occupancy
Ag1 0.0000 0.0000 0.2500 1
Ag2 0.3333 0.6667 0.0980 1
P1 0.3333 0.6667 0.6550 1
Pt1 0.0103 0.5052 0.2500 1
Pt2 0.1625 0.3250 0.5665 1
```

Most intense lines, 2θ from 10° to 90°, by angle:
d (Å)  two_theta  I/Imax
4.263  20.84  16
2.871  31.15  73
2.429  37.01  20
2.359  38.14  100
2.256  39.96  92
2.132  42.40  45
1.998  45.38  44
1.618  56.89  39
1.416  65.95  37
1.270  74.73  35

No. 6
For Ti2AgTe4, the GGA-PBE geometry in Alexandria gives the computed XRD peak list in this record (a wavelength of 1.5418 Å).

```
data_Ti2AgTe4
_chemical_formula_sum 'Ti2 Ag1 Te4'
_space_group_name_H-M_alt 'P 1 2/m 1'
_space_group_IT_number 10
_cell_length_a 6.6856
_cell_length_b 3.8868
_cell_length_c 7.2159
_cell_angle_alpha 90.00
_cell_angle_beta 91.14
_cell_angle_gamma 90.00
loop_
_space_group_symop_operation_xyz
'x,y,z'
'-x,-y,-z'
'-x,y,-z'
'x,-y,z'
loop_
_atom_site_label
_atom_site_fract_x
_atom_site_fract_y
_atom_site_fract_z
_atom_site_occupancy
Ti1 0.0000 0.0000 0.0000 1
Ti2 0.5000 0.5000 0.0000 1
Ag1 0.0000 0.0000 0.5000 1
Te1 0.1757 0.5000 0.2346 1
Te2 0.3352 0.0000 0.7660 1
```

Most intense lines, 2θ from 10° to 90°, by angle:
d (Å)  two_theta  I/Imax
3.607  24.68  20
3.057  29.21  100
3.034  29.44  52
3.010  29.68  34
2.474  36.31  53
2.446  36.74  51
1.965  46.20  21
1.944  46.72  35
1.933  47.00  54
1.330  70.83  18

No. 7
For Be5Ir6, the GGA-PBE geometry in Alexandria gives the computed XRD peak list in this record (a wavelength of 1.5418 Å).

```
data_Be5Ir6
_chemical_formula_sum 'Be10 Ir12'
_space_group_name_H-M_alt 'C 1 2/m 1'
_space_group_IT_number 12
_cell_length_a 12.4380
_cell_length_b 5.5613
_cell_length_c 3.9201
_cell_angle_alpha 90.00
_cell_angle_beta 108.27
_cell_angle_gamma 90.00
loop_
_space_group_symop_operation_xyz
'x,y,z'
'-x,-y,-z'
'-x,y,-z'
'x,-y,z'
'x+1/2,y+1/2,z'
'-x+1/2,-y+1/2,-z'
'-x+1/2,y+1/2,-z'
'x+1/2,-y+1/2,z'
loop_
_atom_site_label
_atom_site_fract_x
_atom_site_fract_y
_atom_site_fract_z
_atom_site_occupancy
Be1 0.0000 0.0000 0.0000 1
Be2 0.1652 0.0000 0.6621 1
Be3 0.1742 0.5000 0.6710 1
Ir1 0.0000 0.2642 0.5000 1
Ir2 0.1644 0.2539 0.1619 1
```

Most intense lines, 2θ from 10° to 90°, by angle:
d (Å)  two_theta  I/Imax
2.779  32.21  100
1.967  46.15  41
1.964  46.21  27
1.960  46.32  14
1.607  57.35  13
1.602  57.53  13
1.390  67.36  9
1.243  76.63  19
1.136  85.49  14
1.134  85.70  10

No. 8
For AgTe2Se3, the GGA-PBE geometry in Alexandria gives the computed XRD peak list in this record (a wavelength of 1.5418 Å).

```
data_AgTe2Se3
_chemical_formula_sum 'Ag2 Te4 Se6'
_space_group_name_H-M_alt 'C 1 2 1'
_space_group_IT_number 5
_cell_length_a 5.8897
_cell_length_b 5.8906
_cell_length_c 9.6578
_cell_angle_alpha 90.00
_cell_angle_beta 107.57
_cell_angle_gamma 90.00
loop_
_space_group_symop_operation_xyz
'x,y,z'
'-x,y,-z'
'x+1/2,y+1/2,z'
'-x+1/2,y+1/2,-z'
loop_
_atom_site_label
_atom_site_fract_x
_atom_site_fract_y
_atom_site_fract_z
_atom_site_occupancy
Ag1 0.0000 0.0000 0.0000 1
Te1 0.1508 0.4991 0.3039 1
Se1 0.0000 0.4994 0.0000 1
Se2 0.1441 0.9993 0.2906 1
```

Most intense lines, 2θ from 10° to 90°, by angle:
d (Å)  two_theta  I/Imax
3.446  25.85  13
3.069  29.10  41
2.945  30.35  100
2.126  42.52  43
2.121  42.62  14
2.082  43.46  37
1.725  53.09  15
1.721  53.21  15
1.473  63.14  12
1.317  71.65  16